For Mn6O5F7, a DFT-relaxed cell (PBE+U, Alexandria) gives the calculated PXRD pattern in this record (copper Kα).

abc: 4.728 9.498 4.755
angles: 90.00 95.02 90.00
Element x y z (fractional)
Mn  0.000  0.000  0.000
Mn  0.036  0.339  0.027
Mn  0.036  0.661  0.027
Mn  0.502  0.158  0.495
Mn  0.502  0.842  0.495
Mn  0.536  0.500  0.461
O  0.294  0.000  0.296
O  0.339  0.324  0.311
O  0.339  0.676  0.311
O  0.703  0.000  0.702
O  0.860  0.500  0.189
F  0.199  0.172  0.822
F  0.199  0.828  0.822
F  0.245  0.500  0.792
F  0.730  0.325  0.707
F  0.730  0.675  0.707
F  0.818  0.164  0.197
F  0.818  0.836  0.197

Top 10 peaks for 10 to 80 degrees two-theta, low angle first:
- (1 0 -1), 2θ 25.5, intensity 100.0
- (1 0 1), 2θ 27.9, intensity 81.6
- (1 3 0), 2θ 34.1, intensity 95.5
- (1 3 -1), 2θ 38.4, intensity 18.9
- (1 3 -2), 2θ 50.6, intensity 31.7
- (2 3 -1), 2θ 50.7, intensity 31.7
- (1 3 2), 2θ 53.3, intensity 23.4
- (2 3 1), 2θ 53.5, intensity 23.3
- (0 3 3), 2θ 66.1, intensity 18.8
- (3 3 0), 2θ 66.5, intensity 19.0